# 1
Theoretical XRD peak list of EuNiPt for Cu Ka, from a DFT-relaxed cell (GGA-PBE, Alexandria).
Intensities are scaled so that the largest is 100.

Principal peaks in the range 15° ≤ 2θ ≤ 90°, in order of falling intensity:
(1 0 1), d = 2.725 Å, 2θ = 32.86°, intensity 100
(1 1 0), d = 2.095 Å, 2θ = 43.18°, intensity 43
(1 1 2), d = 1.470 Å, 2θ = 63.25°, intensity 28
(2 0 1), d = 1.661 Å, 2θ = 55.31°, intensity 23
(2 1 1), d = 1.301 Å, 2θ = 72.65°, intensity 20
(1 0 0), d = 3.628 Å, 2θ = 24.53°, intensity 14
(0 0 2), d = 2.064 Å, 2θ = 43.86°, intensity 14
(1 0 3), d = 1.287 Å, 2θ = 73.62°, intensity 10
(3 0 0), d = 1.209 Å, 2θ = 79.19°, intensity 7
(2 0 3), d = 1.096 Å, 2θ = 89.37°, intensity 6

Atomic structure:
```
data_EuNiPt
_space_group_name_H-M_alt 'P -6 m 2'
_space_group_IT_number 187
_space_group_name_Hall 'P -6 2'
_cell_length_a 4.1898
_cell_length_b 4.1898
_cell_length_c 4.1280
_cell_angle_alpha 90.00
_cell_angle_beta 90.00
_cell_angle_gamma 120.00
loop_
_atom_site_label
_atom_site_type_symbol
_atom_site_fract_x
_atom_site_fract_y
_atom_site_fract_z
Eu1 Eu 0.0000 0.0000 0.0000
Ni1 Ni 0.3333 0.6667 0.5000
Pt1 Pt 0.6667 0.3333 0.5000
```

***

# 2
Theoretical XRD peak list of Eu2Ni3Sb4 for Cu Ka, from a DFT-relaxed cell (GGA-PBE, Alexandria).
Intensities are scaled so that the largest is 100.

Principal peaks in the range 15° ≤ 2θ ≤ 90°, in order of falling intensity:
(1 0 3), d = 2.757 Å, 2θ = 32.47°, intensity 100
(2 0 0), d = 2.193 Å, 2θ = 41.17°, intensity 48
(2 1 3), d = 1.716 Å, 2θ = 53.39°, intensity 48
(1 1 0), d = 3.101 Å, 2θ = 28.79°, intensity 46
(1 1 2), d = 2.679 Å, 2θ = 33.45°, intensity 31
(1 1 6), d = 1.539 Å, 2θ = 60.12°, intensity 17
(2 2 0), d = 1.550 Å, 2θ = 59.64°, intensity 16
(1 0 5), d = 1.914 Å, 2θ = 47.50°, intensity 15
(3 2 3), d = 1.150 Å, 2θ = 84.15°, intensity 13
(2 1 5), d = 1.442 Å, 2θ = 64.64°, intensity 11

Atomic structure:
```
data_Eu2Ni3Sb4
_space_group_name_H-M_alt 'P -4 m 2'
_space_group_IT_number 115
_cell_length_a 4.385
_cell_length_b 4.385
_cell_length_c 10.637
_cell_angle_alpha 90.00
_cell_angle_beta 90.00
_cell_angle_gamma 90.00
loop_
_space_group_symop_operation_xyz
'x,y,z'
'y,-x,-z'
'-x,-y,z'
'-y,x,-z'
'-x,y,z'
'-y,-x,-z'
'x,-y,z'
'y,x,-z'
loop_
_atom_site_label
_atom_site_type_symbol
_atom_site_fract_x
_atom_site_fract_y
_atom_site_fract_z
Eu1 Eu 0.000 0.500 0.245
Ni1 Ni 0.000 0.000 0.000
Ni2 Ni 0.000 0.000 0.500
Ni3 Ni 0.500 0.500 0.500
Sb1 Sb 0.000 0.500 0.618
Sb2 Sb 0.000 0.500 0.895
```

***

# 3
Theoretical XRD peak list of Eu2Si3Ni8 for Cu Ka, from a DFT-relaxed cell (GGA-PBE, Alexandria).
Intensities are scaled so that the largest is 100.

Principal peaks in the range 15° ≤ 2θ ≤ 90°, in order of falling intensity:
(3 0 2), d = 2.483 Å, 2θ = 36.17°, intensity 100
(4 2 1), d = 2.133 Å, 2θ = 42.37°, intensity 53
(2 1 2), d = 2.864 Å, 2θ = 31.23°, intensity 44
(3 2 1), d = 2.590 Å, 2θ = 34.63°, intensity 31
(4 1 1), d = 2.298 Å, 2θ = 39.21°, intensity 28
(2 1 3), d = 2.176 Å, 2θ = 41.49°, intensity 25
(3 3 0), d = 2.346 Å, 2θ = 38.36°, intensity 25
(3 3 2), d = 1.988 Å, 2θ = 45.64°, intensity 24
(5 1 1), d = 1.889 Å, 2θ = 48.17°, intensity 23
(2 2 0), d = 3.519 Å, 2θ = 25.31°, intensity 22

Atomic structure:
```
data_Eu2Si3Ni8
_space_group_name_H-M_alt 'P 42/n m c'
_space_group_IT_number 137
_cell_length_a 9.954
_cell_length_b 9.954
_cell_length_c 7.484
_cell_angle_alpha 90.00
_cell_angle_beta 90.00
_cell_angle_gamma 90.00
loop_
_space_group_symop_operation_xyz
'x,y,z'
'-x,-y,-z'
'-y+1/2,x,z+1/2'
'y+1/2,-x,-z+1/2'
'-x+1/2,-y+1/2,z'
'x+1/2,y+1/2,-z'
'y,-x+1/2,z+1/2'
'-y,x+1/2,-z+1/2'
'x+1/2,-y,-z'
'-x+1/2,y,z'
'-y,-x,-z+1/2'
'y,x,z+1/2'
'-x,y+1/2,-z'
'x,-y+1/2,z'
'y+1/2,x+1/2,-z+1/2'
'-y+1/2,-x+1/2,z+1/2'
loop_
_atom_site_label
_atom_site_type_symbol
_atom_site_fract_x
_atom_site_fract_y
_atom_site_fract_z
Eu1 Eu 0.046 0.750 0.106
Si1 Si 0.043 0.543 0.750
Si2 Si 0.250 0.250 0.016
Ni1 Ni 0.043 0.123 0.534
Ni2 Ni 0.114 0.250 0.260
Ni3 Ni 0.122 0.750 0.646
```

***

# 4
Theoretical XRD peak list of EuSi2Ni9 for Cu Ka, from a DFT-relaxed cell (GGA-PBE, Alexandria).
Intensities are scaled so that the largest is 100.

Principal peaks in the range 15° ≤ 2θ ≤ 90°, in order of falling intensity:
(4 2 0), d = 2.198 Å, 2θ = 41.07°, intensity 100
(5 0 1), d = 1.874 Å, 2θ = 48.58°, intensity 22
(5 5 2), d = 1.269 Å, 2θ = 74.82°, intensity 18
(1 0 3), d = 2.029 Å, 2θ = 44.66°, intensity 15
(3 2 1), d = 2.496 Å, 2θ = 35.98°, intensity 15
(3 0 1), d = 2.898 Å, 2θ = 30.85°, intensity 11
(8 4 0), d = 1.099 Å, 2θ = 89.11°, intensity 11
(5 3 2), d = 1.482 Å, 2θ = 62.69°, intensity 11
(4 2 2), d = 1.795 Å, 2θ = 50.88°, intensity 10
(4 0 2), d = 1.928 Å, 2θ = 47.14°, intensity 10

Atomic structure:
```
data_EuSi2Ni9
_space_group_name_H-M_alt 'I 41/a m d'
_space_group_IT_number 141
_cell_length_a 9.826
_cell_length_b 9.826
_cell_length_c 6.222
_cell_angle_alpha 90.00
_cell_angle_beta 90.00
_cell_angle_gamma 90.00
loop_
_space_group_symop_operation_xyz
'x,y,z'
'-x,-y,-z'
'-y+1/4,x+3/4,z+1/4'
'y+1/4,-x+3/4,-z+1/4'
'-x+1/2,-y,z+1/2'
'x+1/2,y,-z+1/2'
'y+1/4,-x+1/4,z+3/4'
'-y+1/4,x+1/4,-z+3/4'
'x,-y,-z'
'-x,y,z'
'-y+1/4,-x+1/4,-z+3/4'
'y+1/4,x+1/4,z+3/4'
'-x+1/2,y,-z+1/2'
'x+1/2,-y,z+1/2'
'y+1/4,x+3/4,-z+1/4'
'-y+1/4,-x+3/4,z+1/4'
'x+1/2,y+1/2,z+1/2'
'-x+1/2,-y+1/2,-z+1/2'
'-y+3/4,x+1/4,z+3/4'
'y+3/4,-x+1/4,-z+3/4'
'-x,-y+1/2,z'
'x,y+1/2,-z'
'y+3/4,-x+3/4,z+1/4'
'-y+3/4,x+3/4,-z+1/4'
'x+1/2,-y+1/2,-z+1/2'
'-x+1/2,y+1/2,z+1/2'
'-y+3/4,-x+3/4,-z+1/4'
'y+3/4,x+3/4,z+1/4'
'-x,y+1/2,-z'
'x,-y+1/2,z'
'y+3/4,x+1/4,-z+3/4'
'-y+3/4,-x+1/4,z+3/4'
loop_
_atom_site_label
_atom_site_type_symbol
_atom_site_fract_x
_atom_site_fract_y
_atom_site_fract_z
Eu1 Eu 0.000 0.250 0.375
Si1 Si 0.000 0.000 0.000
Ni1 Ni 0.000 0.250 0.875
Ni2 Ni 0.125 0.047 0.688
```

***

# 5
Theoretical XRD peak list of SmEuNi2 for Cu Ka, from a DFT-relaxed cell (GGA-PBE, Alexandria).
Intensities are scaled so that the largest is 100.

Principal peaks in the range 15° ≤ 2θ ≤ 90°, in order of falling intensity:
(2 0 0), d = 2.448 Å, 2θ = 36.72°, intensity 100
(3 1 1), d = 1.413 Å, 2θ = 66.12°, intensity 35
(1 1 0), d = 3.462 Å, 2θ = 25.74°, intensity 19
(2 2 0), d = 1.731 Å, 2θ = 52.90°, intensity 17
(4 0 0), d = 1.224 Å, 2θ = 78.09°, intensity 11
(4 2 0), d = 1.095 Å, 2θ = 89.50°, intensity 10
(3 1 0), d = 1.548 Å, 2θ = 59.74°, intensity 8
(2 0 1), d = 1.999 Å, 2θ = 45.38°, intensity 6
(1 1 3), d = 1.094 Å, 2θ = 89.63°, intensity 5
(4 0 1), d = 1.154 Å, 2θ = 83.84°, intensity 4

Atomic structure:
```
data_SmEuNi2
_space_group_name_H-M_alt 'P 4/m m m'
_space_group_IT_number 123
_space_group_name_Hall '-P 4 2'
_cell_length_a 4.898
_cell_length_b 4.898
_cell_length_c 3.458
_cell_angle_alpha 90.00
_cell_angle_beta 90.00
_cell_angle_gamma 90.00
loop_
_atom_site_label
_atom_site_type_symbol
_atom_site_fract_x
_atom_site_fract_y
_atom_site_fract_z
Sm1 Sm 0.000 0.000 0.000
Eu1 Eu 0.500 0.500 0.000
Ni1 Ni 0.000 0.500 0.500
```

***

# 6
Theoretical XRD peak list of EuNpP2 for Cu Ka, from a DFT-relaxed cell (GGA-PBE, Alexandria).
Intensities are scaled so that the largest is 100.

Principal peaks in the range 15° ≤ 2θ ≤ 90°, in order of falling intensity:
(1 0 2), d = 2.467 Å, 2θ = 36.41°, intensity 100
(1 0 0), d = 3.455 Å, 2θ = 25.78°, intensity 63
(1 1 0), d = 2.443 Å, 2θ = 36.79°, intensity 49
(2 1 2), d = 1.415 Å, 2θ = 66.02°, intensity 36
(0 0 2), d = 3.524 Å, 2θ = 25.27°, intensity 33
(1 1 2), d = 2.008 Å, 2θ = 45.16°, intensity 30
(1 1 4), d = 1.429 Å, 2θ = 65.29°, intensity 18
(2 0 0), d = 1.728 Å, 2θ = 53.01°, intensity 17
(1 0 4), d = 1.570 Å, 2θ = 58.82°, intensity 14
(2 0 2), d = 1.551 Å, 2θ = 59.60°, intensity 13

Atomic structure:
```
data_EuNpP2
_space_group_name_H-M_alt 'P 4/m m m'
_space_group_IT_number 123
_space_group_name_Hall '-P 4 2'
_cell_length_a 3.455
_cell_length_b 3.455
_cell_length_c 7.049
_cell_angle_alpha 90.00
_cell_angle_beta 90.00
_cell_angle_gamma 90.00
loop_
_atom_site_label
_atom_site_type_symbol
_atom_site_fract_x
_atom_site_fract_y
_atom_site_fract_z
Eu1 Eu 0.000 0.000 0.000
Np1 Np 0.000 0.000 0.500
P1 P 0.500 0.500 0.270
```